AcTm4Co3O12: theoretical powder diffraction line list (Cu Kα (λ = 1.5418 Å)), based on a structure optimized by DFT (PBE+U).

Cell: 8.0406 8.0406 8.0406 Å, 90.00 90.00 90.00°
Space group Im-3 (No. 204)
Inequivalent atoms, fractional coordinates:
1 Ac 0.0000 0.0000 0.0000 [2 per cell]
2 Tm 0.2500 0.2500 0.2500 [8 per cell]
3 Co 0.0000 0.0000 0.5000 [6 per cell]
4 O 0.0000 0.1553 0.3197 [24 per cell]

Main lines, by angle (2θ = 5–70°):
index, 2theta, Rel. int.
1 1 0, 15.6, 109
2 0 0, 22.1, 79
2 2 0, 31.5, 1000
3 1 0, 35.3, 65
3 2 1, 42.0, 68
4 0 0, 45.1, 208
4 2 2, 56.0, 466
4 4 0, 65.7, 123